Record 1
FeOF: computed X-ray powder pattern (Cu Kα (λ = 1.5418 Å)), based on a crystal structure in the Materials Project, relaxed with GGA+U.

Largest 12 diffraction maxima, by angle, 5° ≤ 2θ ≤ 70°:
h k l, 2theta, I/Imax
2 0 -2, 26.64, 100
0 1 2, 34.56, 56
2 1 -2, 39.60, 19
2 0 -4, 42.68, 5
4 0 -2, 42.78, 7
2 1 -4, 52.30, 45
4 1 2, 52.39, 14
4 0 -4, 54.88, 16
0 2 0, 59.56, 10
0 1 6, 66.38, 17
2 2 2, 66.40, 6
6 1 0, 66.61, 9

Structural model:
```
data_FeOF
_chemical_formula_sum 'Fe8 O8 F8'
_symmetry_space_group_name_H-M 'P 1 m 1'
_symmetry_Int_Tables_number 6
_symmetry_space_group_name_Hall 'P -2y'
_cell_length_a 9.444
_cell_length_b 3.104
_cell_length_c 9.482
_cell_angle_alpha 90.00
_cell_angle_beta 90.09
_cell_angle_gamma 90.00
loop_
_atom_site_label
_atom_site_type_symbol
_atom_site_fract_x
_atom_site_fract_y
_atom_site_fract_z
_atom_site_occupancy
Fe1 Fe 0.000 0.000 0.000 1
Fe2 Fe 0.003 0.000 0.509 1
Fe3 Fe 0.208 0.500 0.253 1
Fe4 Fe 0.217 0.500 0.759 1
Fe5 Fe 0.469 0.000 0.974 1
Fe6 Fe 0.496 0.000 0.503 1
Fe7 Fe 0.709 0.500 0.754 1
Fe8 Fe 0.716 0.500 0.259 1
O1 O 0.075 0.500 0.097 1
O2 O 0.078 0.500 0.599 1
O3 O 0.128 0.000 0.844 1
O4 O 0.132 0.000 0.348 1
O5 O 0.377 0.500 0.897 1
O6 O 0.577 0.500 0.595 1
O7 O 0.630 0.000 0.342 1
O8 O 0.634 0.000 0.850 1
F1 F 0.328 0.000 0.644 1
F2 F 0.331 0.000 0.154 1
F3 F 0.382 0.500 0.400 1
F4 F 0.575 0.500 0.096 1
F5 F 0.822 0.000 0.150 1
F6 F 0.827 0.000 0.651 1
F7 F 0.879 0.500 0.401 1
F8 F 0.880 0.500 0.900 1
```

=====

Record 2
NaFe3P3O12: computed X-ray powder pattern (Cu Kα (λ = 1.5418 Å)), based on a crystal structure in the Materials Project, relaxed with GGA+U.

Largest 12 diffraction maxima, by angle, 5° ≤ 2θ ≤ 70°:
h k l, 2theta, I/Imax
0 2 0, 14.22, 100
2 0 0, 16.53, 28
1 1 -2, 28.43, 62
1 3 1, 29.25, 20
3 3 0, 33.07, 37
2 4 0, 33.27, 64
4 0 0, 33.42, 22
4 0 -2, 34.67, 22
1 3 -2, 35.08, 58
3 1 -3, 42.59, 28
3 3 2, 52.07, 20
2 0 -4, 56.75, 20

Structural model:
```
data_NaFe3P3O12
_chemical_formula_sum 'Na4 Fe12 P12 O48'
_symmetry_space_group_name_H-M 'C 1 2/c 1'
_symmetry_Int_Tables_number 15
_symmetry_space_group_name_Hall '-C 2yc'
_cell_length_a 11.740
_cell_length_b 12.458
_cell_length_c 6.551
_cell_angle_alpha 90.00
_cell_angle_beta 114.01
_cell_angle_gamma 90.00
loop_
_atom_site_label
_atom_site_type_symbol
_atom_site_fract_x
_atom_site_fract_y
_atom_site_fract_z
_atom_site_occupancy
Na1 Na 0.000 0.019 0.250 1
Fe1 Fe 0.000 0.283 0.750 1
Fe2 Fe 0.217 0.162 0.622 1
P1 P 0.000 0.310 0.250 1
P2 P 0.227 0.111 0.112 1
O1 O 0.038 0.236 0.467 1
O2 O 0.109 0.379 0.262 1
O3 O 0.134 0.390 0.847 1
O4 O 0.148 0.167 0.880 1
O5 O 0.166 0.000 0.100 1
O6 O 0.212 0.177 0.301 1
```

=====

Record 3
MgZn2Fe4O8: computed X-ray powder pattern (Cu Kα (λ = 1.5418 Å)), based on a crystal structure in the Materials Project, relaxed with GGA+U.

Largest 12 diffraction maxima, by angle, 5° ≤ 2θ ≤ 70°:
h k l, 2theta, I/Imax
0 2 1, 29.17, 26
2 0 1, 29.74, 27
1 0 -1, 32.41, 41
1 0 2, 33.04, 52
-1 2 1, 34.18, 50
1 2 2, 34.41, 100
2 -1 1, 34.85, 40
0 2 0, 35.19, 29
0 0 2, 39.07, 22
2 3 3, 55.50, 28
-2 2 2, 58.28, 24
0 4 2, 60.48, 24

Structural model:
```
data_MgZn2Fe4O8
_chemical_formula_sum 'Mg1 Zn2 Fe4 O8'
_symmetry_space_group_name_H-M 'P 1'
_symmetry_Int_Tables_number 1
_symmetry_space_group_name_Hall 'P 1'
_cell_length_a 6.011
_cell_length_b 6.123
_cell_length_c 6.246
_cell_angle_alpha 60.69
_cell_angle_beta 62.34
_cell_angle_gamma 90.00
loop_
_atom_site_label
_atom_site_type_symbol
_atom_site_fract_x
_atom_site_fract_y
_atom_site_fract_z
_atom_site_occupancy
Mg1 Mg 0.000 0.000 0.000 1
Zn1 Zn 0.064 0.556 0.888 1
Zn2 Zn 0.714 0.712 0.575 1
Fe1 Fe 0.412 0.145 0.200 1
Fe2 Fe 0.414 0.654 0.198 1
Fe3 Fe 0.471 0.189 0.622 1
Fe4 Fe 0.925 0.207 0.586 1
O1 O 0.150 0.878 0.242 1
O2 O 0.180 0.386 0.664 1
O3 O 0.181 0.950 0.663 1
O4 O 0.206 0.419 0.161 1
O5 O 0.620 0.873 0.251 1
O6 O 0.629 0.339 0.757 1
O7 O 0.631 0.902 0.757 1
O8 O 0.657 0.414 0.169 1
```

=====

Record 4
MgV2Te2O7F2: computed X-ray powder pattern (Cu Kα (λ = 1.5418 Å)), based on a crystal structure in the Materials Project, relaxed with GGA+U.

Largest 12 diffraction maxima, by angle, 5° ≤ 2θ ≤ 70°:
h k l, 2theta, I/Imax
0 1 -1, 18.68, 24
1 0 -1, 19.91, 27
1 -1 0, 22.47, 60
0 0 2, 23.76, 38
1 -1 1, 24.29, 48
0 1 -2, 25.79, 48
-1 1 1, 26.58, 100
1 1 -1, 27.15, 62
1 0 2, 31.52, 41
1 1 1, 32.82, 25
-2 2 1, 48.86, 22
1 2 -3, 48.98, 32

Structural model:
```
data_MgV2Te2O7F2
_chemical_formula_sum 'Mg1 V2 Te2 O7 F2'
_symmetry_space_group_name_H-M 'P -1'
_symmetry_Int_Tables_number 2
_symmetry_space_group_name_Hall '-P 1'
_cell_length_a 5.167
_cell_length_b 5.225
_cell_length_c 7.784
_cell_angle_alpha 104.00
_cell_angle_beta 94.64
_cell_angle_gamma 99.96
loop_
_atom_site_label
_atom_site_type_symbol
_atom_site_fract_x
_atom_site_fract_y
_atom_site_fract_z
_atom_site_occupancy
Mg1 Mg 0.000 0.000 0.000 1
V1 V 0.232 0.992 0.372 1
Te1 Te 0.336 0.502 0.773 1
O1 O 0.052 0.224 0.827 1
O2 O 0.321 0.191 0.201 1
O3 O 0.486 0.234 0.617 1
O4 O 0.500 0.500 0.000 1
F1 F 0.027 0.779 0.529 1
```

=====

Record 5
Li9Mn2Co5O16: computed X-ray powder pattern (Cu Kα (λ = 1.5418 Å)), based on a crystal structure in the Materials Project, relaxed with GGA+U.

Largest 12 diffraction maxima, by angle, 5° ≤ 2θ ≤ 70°:
h k l, 2theta, I/Imax
1 0 -2, 18.31, 100
1 0 6, 34.16, 18
0 1 4, 36.52, 24
1 1 2, 37.61, 7
2 0 4, 41.06, 31
1 1 -6, 44.46, 52
2 1 0, 47.19, 10
2 1 -8, 58.50, 10
1 1 10, 61.97, 14
3 1 -2, 62.25, 15
2 0 -12, 63.89, 7
0 2 0, 65.49, 7

Structural model:
```
data_Li9Mn2Co5O16
_chemical_formula_sum 'Li9 Mn2 Co5 O16'
_symmetry_space_group_name_H-M 'P 1 2/m 1'
_symmetry_Int_Tables_number 10
_symmetry_space_group_name_Hall '-P 2y'
_cell_length_a 5.261
_cell_length_b 2.850
_cell_length_c 19.616
_cell_angle_alpha 90.00
_cell_angle_beta 96.67
_cell_angle_gamma 90.00
loop_
_atom_site_label
_atom_site_type_symbol
_atom_site_fract_x
_atom_site_fract_y
_atom_site_fract_z
_atom_site_occupancy
Li1 Li 0.000 0.000 0.000 1
Li2 Li 0.000 0.000 0.500 1
Li3 Li 0.240 0.500 0.123 1
Li4 Li 0.254 0.500 0.625 1
Li5 Li 0.497 0.000 0.249 1
Li6 Li 0.500 0.500 0.000 1
Mn1 Mn 0.252 0.000 0.374 1
Co1 Co 0.005 0.500 0.753 1
Co2 Co 0.293 0.000 0.884 1
Co3 Co 0.500 0.500 0.500 1
O1 O 0.118 0.000 0.696 1
O2 O 0.119 0.000 0.196 1
O3 O 0.135 0.500 0.930 1
O4 O 0.140 0.500 0.433 1
O5 O 0.354 0.500 0.820 1
O6 O 0.372 0.500 0.318 1
O7 O 0.376 0.000 0.557 1
O8 O 0.395 0.000 0.067 1
```

=====

Record 6
Fe4O5F3: computed X-ray powder pattern (Cu Kα (λ = 1.5418 Å)), based on a crystal structure in the Materials Project, relaxed with GGA+U.

Largest 12 diffraction maxima, by angle, 5° ≤ 2θ ≤ 70°:
h k l, 2theta, I/Imax
1 0 2, 26.09, 100
1 0 -2, 27.18, 97
0 2 2, 35.06, 51
0 2 -2, 35.18, 50
1 2 -2, 40.48, 16
1 2 4, 51.99, 28
1 -2 4, 52.24, 28
-1 2 4, 53.32, 40
2 0 4, 53.68, 15
2 0 -4, 56.06, 16
0 4 0, 61.04, 17
0 2 6, 66.84, 19

Structural model:
```
data_Fe4O5F3
_chemical_formula_sum 'Fe8 O10 F6'
_symmetry_space_group_name_H-M 'P 1'
_symmetry_Int_Tables_number 1
_symmetry_space_group_name_Hall 'P 1'
_cell_length_a 4.741
_cell_length_b 6.072
_cell_length_c 9.463
_cell_angle_alpha 89.79
_cell_angle_beta 87.70
_cell_angle_gamma 89.80
loop_
_atom_site_label
_atom_site_type_symbol
_atom_site_fract_x
_atom_site_fract_y
_atom_site_fract_z
_atom_site_occupancy
Fe1 Fe 0.000 0.000 0.000 1
Fe2 Fe 0.004 0.001 0.501 1
Fe3 Fe 0.027 0.502 0.517 1
Fe4 Fe 0.054 0.500 0.022 1
Fe5 Fe 0.451 0.249 0.753 1
Fe6 Fe 0.484 0.752 0.738 1
Fe7 Fe 0.517 0.248 0.262 1
Fe8 Fe 0.549 0.752 0.246 1
O1 O 0.184 0.247 0.912 1
O2 O 0.198 0.755 0.907 1
O3 O 0.208 0.252 0.410 1
O4 O 0.292 0.003 0.655 1
O5 O 0.298 0.500 0.659 1
O6 O 0.351 0.501 0.166 1
O7 O 0.710 0.000 0.348 1
O8 O 0.812 0.752 0.597 1
O9 O 0.827 0.247 0.106 1
O10 O 0.835 0.751 0.099 1
F1 F 0.223 0.749 0.401 1
F2 F 0.322 0.998 0.156 1
F3 F 0.678 0.495 0.845 1
F4 F 0.687 0.005 0.850 1
F5 F 0.726 0.503 0.360 1
F6 F 0.792 0.251 0.604 1
```

=====

Record 7
Li7Mn5O12: computed X-ray powder pattern (Cu Kα (λ = 1.5418 Å)), based on a crystal structure in the Materials Project, relaxed with GGA+U.

Largest 12 diffraction maxima, by angle, 5° ≤ 2θ ≤ 70°:
h k l, 2theta, I/Imax
0 1 0, 15.18, 7
1 0 -1, 18.35, 100
1 -2 1, 34.68, 13
1 2 0, 35.60, 13
1 0 2, 36.26, 12
2 0 -2, 37.15, 9
2 -2 0, 41.81, 30
2 2 -1, 43.26, 28
0 0 3, 44.44, 26
0 4 -1, 61.73, 15
2 -2 3, 62.55, 8
2 2 2, 63.81, 7

Structural model:
```
data_Li7Mn5O12
_chemical_formula_sum 'Li7 Mn5 O12'
_symmetry_space_group_name_H-M 'P 1'
_symmetry_Int_Tables_number 1
_symmetry_space_group_name_Hall 'P 1'
_cell_length_a 6.013
_cell_length_b 6.015
_cell_length_c 6.466
_cell_angle_alpha 103.19
_cell_angle_beta 102.94
_cell_angle_gamma 91.86
loop_
_atom_site_label
_atom_site_type_symbol
_atom_site_fract_x
_atom_site_fract_y
_atom_site_fract_z
_atom_site_occupancy
Li1 Li 0.000 0.000 0.000 1
Li2 Li 0.014 0.507 0.005 1
Li3 Li 0.335 0.334 0.324 1
Li4 Li 0.359 0.804 0.327 1
Li5 Li 0.505 0.496 0.000 1
Li6 Li 0.650 0.189 0.673 1
Li7 Li 0.676 0.666 0.678 1
Mn1 Mn 0.172 0.168 0.670 1
Mn2 Mn 0.182 0.661 0.666 1
Mn3 Mn 0.501 0.996 0.004 1
Mn4 Mn 0.828 0.340 0.331 1
Mn5 Mn 0.835 0.831 0.331 1
O1 O 0.048 0.100 0.348 1
O2 O 0.108 0.590 0.348 1
O3 O 0.260 0.755 0.981 1
O4 O 0.269 0.220 0.983 1
O5 O 0.386 0.419 0.664 1
O6 O 0.423 0.897 0.684 1
O7 O 0.562 0.077 0.318 1
O8 O 0.624 0.581 0.336 1
O9 O 0.734 0.231 0.007 1
O10 O 0.734 0.777 0.017 1
O11 O 0.932 0.440 0.664 1
O12 O 0.958 0.901 0.654 1
```